# 1
Theoretical XRD peak list of LiB11 for Cu Ka, from DFT lattice parameters and positions (GGA-PBE).
Intensities are scaled so that the largest is 100.

Cell and atoms:
```
LiB11
1.0
-2.7203 2.7203 2.7927
2.7203 -2.7203 2.7927
2.7203 2.7203 -2.7927
Li B
1 11
direct
0.0000 0.0000 0.0000
0.2500 0.7500 0.5000
0.3726 0.5859 0.7867
0.4141 0.2008 0.7867
0.4141 0.6274 0.2133
0.5474 0.0474 0.0949
0.5474 0.4526 0.5000
0.5697 0.0697 0.5000
0.7992 0.5859 0.2133
0.9303 0.4303 0.5000
0.9526 0.0474 0.5000
0.9526 0.4526 0.9051
```

The 10 most intense peaks (2θ = 10–90°), most intense first:
22.8 deg, I 100.0
46.6 deg, I 98.4
62.9 deg, I 84.9
23.1 deg, I 68.5
53.1 deg, I 48.6
63.9 deg, I 39.8
40.4 deg, I 36.5
69.1 deg, I 29.8
86.0 deg, I 18.3
73.9 deg, I 18.0

# 2
Theoretical XRD peak list of Ce5NiPb3 for Cu Ka, from DFT lattice parameters and positions (GGA-PBE).
Intensities are scaled so that the largest is 100.

Cell and atoms:
```
Ce5NiPb3
1.0
9.6061 0.0000 0.0000
-4.8030 8.3191 0.0000
0.0000 0.0000 6.4198
Ce Ni Pb
10 2 6
direct
0.0000 0.2385 0.2500
0.0000 0.7615 0.7500
0.2385 0.0000 0.2500
0.2385 0.2385 0.7500
0.3333 0.6667 0.0000
0.3333 0.6667 0.5000
0.6667 0.3333 0.0000
0.6667 0.3333 0.5000
0.7615 0.0000 0.7500
0.7615 0.7615 0.2500
0.0000 0.0000 0.0000
0.0000 0.0000 0.5000
0.0000 0.3954 0.7500
0.0000 0.6046 0.2500
0.3954 0.0000 0.7500
0.3954 0.3954 0.2500
0.6046 0.0000 0.2500
0.6046 0.6046 0.7500
```

The 10 most intense peaks (2θ = 10–90°), most intense first:
31.7 deg, I 100.0
33.6 deg, I 74.7
32.3 deg, I 47.8
51.7 deg, I 25.7
41.6 deg, I 21.7
62.9 deg, I 19.9
27.8 deg, I 17.7
47.3 deg, I 16.7
28.4 deg, I 14.7
40.1 deg, I 14.3

# 3
Theoretical XRD peak list of Ca4MnN4 for Cu Ka, from DFT lattice parameters and positions (GGA-PBE).
Intensities are scaled so that the largest is 100.

Cell and atoms:
```
Ca4MnN4
1.0
5.9418 0.0000 0.0000
2.1644 5.5705 0.0000
1.6384 2.3129 8.2541
Ca Mn N
8 2 8
direct
0.2093 0.4323 0.3320
0.2315 0.9576 0.1151
0.2706 0.5163 0.9282
0.2736 0.7849 0.5225
0.7264 0.2151 0.4775
0.7294 0.4837 0.0718
0.7685 0.0424 0.8849
0.7907 0.5677 0.6680
0.2791 0.1544 0.7459
0.7209 0.8456 0.2541
0.0300 0.2936 0.8880
0.0884 0.1750 0.5896
0.4732 0.3615 0.6969
0.4866 0.8367 0.8483
0.5134 0.1633 0.1517
0.5268 0.6385 0.3031
0.9116 0.8250 0.4104
0.9700 0.7064 0.1120
```

The 10 most intense peaks (2θ = 10–90°), most intense first:
36.5 deg, I 100.0
39.9 deg, I 53.3
33.0 deg, I 52.9
32.3 deg, I 49.6
32.4 deg, I 45.8
32.2 deg, I 38.6
17.1 deg, I 18.1
53.0 deg, I 16.4
55.9 deg, I 15.5
52.3 deg, I 13.4

# 4
Theoretical XRD peak list of CrAu for Cu Ka, from DFT lattice parameters and positions (GGA-PBE).
Intensities are scaled so that the largest is 100.

Cell and atoms:
```
CrAu
1.0
1.4800 0.8545 4.3632
-1.4800 0.8545 4.3632
0.0000 -1.7090 4.3632
Cr Au
1 1
direct
0.0000 0.0000 0.0000
0.5000 0.5000 0.5000
```

The 10 most intense peaks (2θ = 10–90°), most intense first:
37.7 deg, I 100.0
44.9 deg, I 60.7
20.4 deg, I 48.4
35.7 deg, I 38.1
41.4 deg, I 25.6
78.0 deg, I 23.7
62.8 deg, I 22.1
68.0 deg, I 17.4
49.8 deg, I 15.6
66.7 deg, I 13.7

# 5
Theoretical XRD peak list of NpSc3 for Cu Ka, from DFT lattice parameters and positions (GGA-PBE).
Intensities are scaled so that the largest is 100.

Cell and atoms:
```
NpSc3
1.0
-2.2524 2.2524 4.7818
2.2524 -2.2524 4.7818
2.2524 2.2524 -4.7818
Np Sc
1 3
direct
0.0000 0.0000 0.0000
0.2500 0.7500 0.5000
0.5000 0.5000 0.0000
0.7500 0.2500 0.5000
```

The 10 most intense peaks (2θ = 10–90°), most intense first:
33.8 deg, I 100.0
21.8 deg, I 74.5
40.0 deg, I 31.3
18.6 deg, I 26.8
34.5 deg, I 24.6
68.8 deg, I 24.6
46.0 deg, I 22.9
56.1 deg, I 22.9
28.0 deg, I 20.6
37.6 deg, I 18.6